For Co5B2P, DFT lattice parameters and positions (PBE) gives the theoretical X-ray powder pattern in this record (a wavelength of 1.5418 Å).
Kinematic intensities with the Lorentz-polarization factor, no thermal factor.

Crystal structure
abc: 5.3670 5.3670 10.2557
angles: 90.00 90.00 90.00
Space group I4/mcm (No. 140)
One atom of each set of equivalent atoms:
Co 0.0000 0.0000 0.0000 x4
Co 0.1703 0.3297 0.1398 x16
B 0.1220 0.3780 0.5000 x8
P 0.0000 0.0000 0.2500 x4

The 10 most intense peaks (5 to 70 degrees two-theta), in order of falling intensity:
| index | 2theta | I/Imax |
| --- | --- | --- |
| 2 1 3 | 46.21 | 100 |
| 2 1 1 | 38.52 | 68 |
| 2 0 4 | 49.15 | 67 |
| 3 1 0 | 54.03 | 49 |
| 1 1 4 | 42.55 | 42 |
| 2 2 0 | 47.94 | 21 |
| 0 0 4 | 35.00 | 15 |
| 2 0 2 | 37.84 | 10 |
| 0 0 6 | 53.62 | 8 |
| 2 1 5 | 59.26 | 7 |



For Al12Tc, DFT lattice parameters and positions (PBE) gives the theoretical X-ray powder pattern in this record (a wavelength of 1.5418 Å).
Kinematic intensities with the Lorentz-polarization factor, no thermal factor.

Crystal structure
abc: 7.5326 7.5326 7.5326
angles: 90.00 90.00 90.00
Space group Im-3 (No. 204)
One atom of each set of equivalent atoms:
Al 0.0000 0.1875 0.3080 x24
Tc 0.0000 0.0000 0.0000 x2

The 10 most intense peaks (5 to 70 degrees two-theta), in order of falling intensity:
| index | 2theta | I/Imax |
| --- | --- | --- |
| 3 1 0 | 37.77 | 100 |
| 3 2 1 | 45.03 | 94 |
| 1 1 0 | 16.64 | 84 |
| 2 2 2 | 41.53 | 50 |
| 2 1 1 | 29.04 | 37 |
| 4 3 1 | 62.91 | 25 |
| 4 0 0 | 48.33 | 16 |
| 4 2 2 | 60.18 | 15 |
| 4 1 1 | 51.47 | 9 |
| 2 0 0 | 23.62 | 6 |



For NaLiNbBiO6, DFT lattice parameters and positions (PBE) gives the theoretical X-ray powder pattern in this record (a wavelength of 1.5418 Å).
Kinematic intensities with the Lorentz-polarization factor, no thermal factor.

Crystal structure
abc: 8.1753 8.1753 8.1753
angles: 90.00 90.00 90.00
Space group F-43m (No. 216)
One atom of each set of equivalent atoms:
Na 0.0000 0.0000 0.0000 x4
Li 0.0000 0.0000 0.5000 x4
Nb 0.2500 0.2500 0.2500 x4
Bi 0.2500 0.2500 0.7500 x4
O 0.0064 0.2500 0.2500 x24

The 10 most intense peaks (5 to 70 degrees two-theta), in order of falling intensity:
| index | 2theta | I/Imax |
| --- | --- | --- |
| 2 0 0 | 21.74 | 100 |
| 2 2 0 | 30.94 | 78 |
| 4 2 0 | 49.89 | 43 |
| 4 2 2 | 55.03 | 32 |
| 4 0 0 | 44.32 | 29 |
| 1 1 1 | 18.80 | 21 |
| 6 0 0 | 68.91 | 20 |
| 4 4 0 | 64.48 | 18 |
| 3 1 1 | 36.45 | 15 |
| 2 2 2 | 38.13 | 10 |



For SbICl2F6, DFT lattice parameters and positions (PBE) gives the theoretical X-ray powder pattern in this record (a wavelength of 1.5418 Å).
Kinematic intensities with the Lorentz-polarization factor, no thermal factor.

Crystal structure
abc: 10.9310 12.2743 13.2470
angles: 90.00 90.00 90.00
Space group Cmce (No. 64)
One atom of each set of equivalent atoms:
Sb 0.0000 0.2053 0.0582 x8
I 0.2500 0.0924 0.7500 x8
Cl 0.1637 0.0313 0.3593 x16
F 0.0000 0.0708 0.1302 x8
F 0.0000 0.1541 0.4950 x8
F 0.1241 0.2405 0.6525 x16
F 0.1262 0.1571 0.9695 x16

The 10 most intense peaks (5 to 70 degrees two-theta), in order of falling intensity:
| index | 2theta | I/Imax |
| --- | --- | --- |
| 2 0 2 | 21.07 | 100 |
| 2 2 1 | 22.80 | 60 |
| 1 1 2 | 17.24 | 52 |
| 2 2 0 | 21.77 | 51 |
| 0 2 2 | 19.72 | 45 |
| 0 2 3 | 24.84 | 35 |
| 1 3 1 | 24.18 | 28 |
| 2 4 3 | 39.37 | 24 |
| 4 2 3 | 41.56 | 22 |
| 2 2 5 | 40.60 | 20 |